1.
Starting from a crystal structure in Alexandria, relaxed with GGA-PBE, the PXRD pattern of Th2Cd5Hg was simulated for Cu Ka.
Intensities are scaled so that the largest is 100.

Unit cell a=6.8490 b=13.6948 c=4.4437 alpha=90.00 beta=90.00 gamma=90.00
Fractional positions:
1 Th 0.2400 0.1221 0.0000
2 Th 0.2600 0.6221 0.0000
3 Th 0.7400 0.3779 0.0000
4 Th 0.7600 0.8779 0.0000
5 Cd 0.0000 0.5000 0.5000
6 Cd 0.0064 0.7467 0.5000
7 Cd 0.2396 0.3714 0.0000
8 Cd 0.2604 0.8714 0.0000
9 Cd 0.4936 0.2467 0.5000
10 Cd 0.5000 0.0000 0.5000
11 Cd 0.5064 0.7533 0.5000
12 Cd 0.7396 0.1286 0.0000
13 Cd 0.7604 0.6286 0.0000
14 Cd 0.9936 0.2533 0.5000
15 Hg 0.0000 0.0000 0.5000
16 Hg 0.5000 0.5000 0.5000

The 10 most intense peaks (2θ from 10° to 90°), in order of rising 2θ:
Position (°2θ)  d (Å)  intensity
18.32  4.842  6
33.03  2.712  100
37.13  2.421  36
40.60  2.222  14
53.52  1.712  12
56.19  1.637  22
64.35  1.448  28
69.09  1.359  12
69.29  1.356  11
88.43  1.105  6

---

2.
Starting from a crystal structure in Alexandria, relaxed with GGA-PBE, the PXRD pattern of KTmSe2O8 was simulated for Cu Ka.
Intensities are scaled so that the largest is 100.

Unit cell a=5.4699 b=5.4699 c=8.2714 alpha=90.00 beta=90.00 gamma=120.00
Fractional positions:
1 K 0.0000 0.0000 0.0000
2 Tm 0.0000 0.0000 0.5000
3 Se 0.3333 0.6667 0.7366
4 Se 0.6667 0.3333 0.2634
5 O 0.0863 0.3507 0.6661
6 O 0.2645 0.9137 0.6661
7 O 0.3333 0.6667 0.9350
8 O 0.3507 0.2645 0.3339
9 O 0.6493 0.7355 0.6661
10 O 0.6667 0.3333 0.0650
11 O 0.7355 0.0863 0.3339
12 O 0.9137 0.6493 0.3339

The 10 most intense peaks (2θ from 10° to 90°), in order of rising 2θ:
Position (°2θ)  d (Å)  intensity
10.70  8.271  41
18.73  4.737  19
21.62  4.111  100
28.65  3.115  76
32.74  2.735  46
37.75  2.383  16
44.06  2.055  26
52.28  1.750  16
55.73  1.649  22
55.96  1.643  22

---

3.
Starting from a crystal structure in Alexandria, relaxed with GGA-PBE, the PXRD pattern of Tl2Sn3Te8 was simulated for Cu Ka.
Intensities are scaled so that the largest is 100.

Unit cell a=9.6295 b=9.6295 c=8.4345 alpha=113.65 beta=113.65 gamma=48.82
Fractional positions:
1 Tl 0.2026 0.2026 0.2234
2 Tl 0.7974 0.7974 0.7766
3 Sn 0.2602 0.7398 0.5000
4 Sn 0.5000 0.5000 0.0000
5 Sn 0.7398 0.2602 0.5000
6 Te 0.1198 0.1198 0.5091
7 Te 0.1959 0.5432 0.1192
8 Te 0.3869 0.3869 0.5805
9 Te 0.4568 0.8041 0.8808
10 Te 0.5432 0.1959 0.1192
11 Te 0.6131 0.6131 0.4195
12 Te 0.8041 0.4568 0.8808
13 Te 0.8802 0.8802 0.4909

The 10 most intense peaks (2θ from 10° to 90°), in order of rising 2θ:
Position (°2θ)  d (Å)  intensity
18.75  4.733  93
25.50  3.493  73
28.84  3.096  34
29.97  2.981  57
30.38  2.943  100
31.80  2.814  31
33.33  2.689  40
37.48  2.400  45
37.59  2.393  84
48.23  1.887  43

---

Number 1 is which compound? Th2Cd5Hg

---

What is the formula in the first record? Th2Cd5Hg